This entry pairs a crystal structure of Ho2ErCo2B2O3 with its simulated powder XRD pattern. Radiation: a wavelength of 1.5418 Å. Structure: a DFT-relaxed cell (GGA+U, OQMD).

Structure:
a = 3.3891 Å, b = 3.3891 Å, c = 21.2897 Å
α = 90.00°, β = 90.00°, γ = 90.00°
Space group I4/mmm (No. 139)
Inequivalent atoms, fractional coordinates:
Ho  0.0000  0.0000  0.1375 (multiplicity 4)
Er  0.0000  0.0000  0.5000 (multiplicity 2)
Co  0.0000  0.5000  0.2500 (multiplicity 4)
B  0.0000  0.0000  0.2909 (multiplicity 4)
O  0.0000  0.0000  0.0000 (multiplicity 2)
O  0.0000  0.0000  0.3977 (multiplicity 4)

Most intense lines, 2θ = 10–90°, by angle:
d_spacing  I (rel.)  h k l
3.058  100  1 0 3
2.661  36  0 0 8
2.652  28  1 0 5
2.396  30  1 1 0
2.338  19  1 1 2
1.986  34  1 1 6
1.695  25  2 0 0
1.681  26  1 0 11
1.482  24  2 1 3
1.429  29  2 0 8